Starting from DFT lattice parameters and positions (GGA+U), the powder diffraction line list of Li9Mn10O20 was calculated for copper Kα.
Peak positions follow from Bragg's law for the DFT cell and can differ from measured ones.

Most intense lines, 2θ from 15° to 90°, most intense first:
- 18.16°, I = 100
- 40.43°, I = 83
- 43.49°, I = 68
- 43.64°, I = 63
- 18.59°, I = 37
- 22.04°, I = 30
- 25.83°, I = 28
- 35.66°, I = 24
- 33.46°, I = 23
- 62.87°, I = 21

Cell and atoms:
a = 5.1300 Å, b = 7.9801 Å, c = 10.6112 Å
α = 105.74°, β = 101.34°, γ = 105.64°
Sites, in units of the cell vectors:
Li: 0.0000 0.0000 0.0000
Li: 0.0008 0.0232 0.5029
Li: 0.1511 0.3671 0.9935
Li: 0.1787 0.3767 0.4983
Li: 0.4086 0.8319 0.5147
Li: 0.5638 0.1615 0.0058
Li: 0.5736 0.1807 0.5128
Li: 0.7782 0.0964 0.7590
Li: 0.7847 0.0938 0.2409
Mn: 0.1986 0.9122 0.7547
Mn: 0.2066 0.9142 0.2533
Mn: 0.3676 0.2862 0.7553
Mn: 0.3728 0.2926 0.2565
Mn: 0.5790 0.7072 0.7544
Mn: 0.5916 0.7131 0.2529
Mn: 0.7761 0.6032 0.0026
Mn: 0.7925 0.6079 0.5047
Mn: 0.9828 0.4940 0.7541
Mn: 0.9904 0.5004 0.2571
O: 0.0022 0.2761 0.1413
O: 0.0081 0.2715 0.6337
O: 0.1785 0.1319 0.8728
O: 0.1838 0.6483 0.1581
O: 0.1937 0.1401 0.3724
O: 0.2064 0.6705 0.6391
O: 0.3532 0.5226 0.8661
O: 0.3629 0.5341 0.3718
O: 0.3886 0.0766 0.1427
O: 0.3898 0.0687 0.6355
O: 0.5697 0.9351 0.3693
O: 0.5714 0.9400 0.8615
O: 0.6244 0.4850 0.1345
O: 0.6245 0.4790 0.6248
O: 0.7591 0.3649 0.8791
O: 0.7891 0.3803 0.3673
O: 0.8090 0.8405 0.6281
O: 0.8252 0.8438 0.1360
O: 0.9320 0.7212 0.8773
O: 0.9593 0.7299 0.3809